No. 1
This entry pairs a crystal structure of La4Pt2Au5 with its theoretical PXRD pattern. Radiation: λ = 1.5418 Å (Cu Kα). Structure: a structure optimized by DFT (GGA-PBE).
Intensities are scaled so that the largest is 100.

Cell and atoms:
a b c (Å): 7.613 3.948 9.137
angles (deg): 90.00 91.88 90.00
Fractional positions:
La: 0.216 0.000 0.356
La: 0.240 0.000 0.901
La: 0.760 0.000 0.099
La: 0.784 0.000 0.644
Pt: 0.069 0.500 0.142
Pt: 0.931 0.500 0.858
Au: 0.153 0.500 0.621
Au: 0.442 0.500 0.153
Au: 0.500 0.500 0.500
Au: 0.558 0.500 0.847
Au: 0.847 0.500 0.379

Main lines, low angle first (2θ from 10° to 90°):
2theta  Rel. int.
22.52  52.6
31.97  85.6
32.44  100.0
32.69  79.6
36.46  22.7
37.26  60.0
39.47  36.4
41.28  33.2
43.28  23.6
45.97  49.0

No. 2
This entry pairs a crystal structure of LaPtAu with its theoretical PXRD pattern. Radiation: λ = 1.5418 Å (Cu Kα). Structure: a structure optimized by DFT (GGA-PBE).
Intensities are scaled so that the largest is 100.

Cell and atoms:
a b c (Å): 4.261 5.658 6.668
angles (deg): 91.82 108.52 112.08
Fractional positions:
La: 0.247 0.196 0.299
La: 0.753 0.804 0.701
Pt: 0.016 0.365 0.665
Pt: 0.984 0.635 0.335
Au: 0.413 0.749 0.076
Au: 0.587 0.251 0.924

Main lines, low angle first (2θ from 10° to 90°):
2theta  Rel. int.
30.23  20.9
32.34  100.0
33.27  25.3
34.74  26.6
35.22  15.8
37.45  84.3
40.03  24.2
42.44  45.0
44.13  17.3
66.22  18.2

No. 3
This entry pairs a crystal structure of LaPt4Au2 with its theoretical PXRD pattern. Radiation: λ = 1.5418 Å (Cu Kα). Structure: a structure optimized by DFT (GGA-PBE).
Intensities are scaled so that the largest is 100.

Cell and atoms:
a b c (Å): 5.627 5.627 5.471
angles (deg): 118.94 118.94 76.35
Fractional positions:
La: 0.000 0.000 0.000
Pt: 0.000 0.391 0.696
Pt: 0.000 0.609 0.304
Pt: 0.391 0.000 0.696
Pt: 0.609 0.000 0.304
Au: 0.499 0.499 0.750
Au: 0.501 0.501 0.250

Main lines, low angle first (2θ from 10° to 90°):
2theta  Rel. int.
33.08  44.0
36.49  100.0
37.61  71.3
40.98  33.9
41.90  25.4
42.03  75.2
42.32  63.0
66.33  21.4
66.50  21.3
78.30  21.2

No. 4
This entry pairs a crystal structure of La3Pt4Au2 with its theoretical PXRD pattern. Radiation: λ = 1.5418 Å (Cu Kα). Structure: a structure optimized by DFT (GGA-PBE).
Intensities are scaled so that the largest is 100.

Cell and atoms:
a b c (Å): 6.296 6.296 9.368
angles (deg): 114.96 114.96 39.55
Fractional positions:
La: 0.000 0.000 0.000
La: 0.356 0.356 0.308
La: 0.644 0.644 0.692
Pt: 0.069 0.069 0.420
Pt: 0.295 0.295 0.949
Pt: 0.705 0.705 0.051
Pt: 0.931 0.931 0.580
Au: 0.353 0.353 0.695
Au: 0.647 0.647 0.305

Main lines, low angle first (2θ from 10° to 90°):
2theta  Rel. int.
23.56  32.1
32.07  30.5
32.95  89.6
33.69  46.2
37.37  100.0
42.44  42.5
46.98  17.0
49.13  18.8
63.88  18.5
71.66  19.4

No. 5
This entry pairs a crystal structure of La4Pt2Au with its theoretical PXRD pattern. Radiation: λ = 1.5418 Å (Cu Kα). Structure: a structure optimized by DFT (GGA-PBE).
Intensities are scaled so that the largest is 100.

Cell and atoms:
a b c (Å): 8.261 8.261 8.261
angles (deg): 109.44 109.44 109.54
Fractional positions:
La: 0.204 0.265 0.562
La: 0.204 0.642 0.938
La: 0.265 0.204 0.062
La: 0.358 0.796 0.562
La: 0.642 0.204 0.438
La: 0.735 0.796 0.938
La: 0.796 0.358 0.062
La: 0.796 0.735 0.438
Pt: 0.000 0.500 0.500
Pt: 0.500 0.000 0.000
Pt: 0.500 0.500 0.000
Pt: 0.500 0.500 0.500
Au: 0.125 0.875 0.250
Au: 0.875 0.125 0.750

Main lines, low angle first (2θ from 10° to 90°):
2theta  Rel. int.
18.60  25.2
22.83  27.7
26.42  48.4
29.63  95.6
35.20  100.0
37.71  47.0
44.55  34.8
46.67  40.1
48.68  36.6
74.43  25.8

No. 6
This entry pairs a crystal structure of La3PtAu3 with its theoretical PXRD pattern. Radiation: λ = 1.5418 Å (Cu Kα). Structure: a structure optimized by DFT (GGA-PBE).
Intensities are scaled so that the largest is 100.

Cell and atoms:
a b c (Å): 5.955 5.955 16.555
angles (deg): 104.51 104.51 40.51
Fractional positions:
La: 0.045 0.045 0.393
La: 0.103 0.103 0.923
La: 0.234 0.234 0.234
La: 0.766 0.766 0.766
La: 0.897 0.897 0.077
La: 0.955 0.955 0.607
Pt: 0.272 0.272 0.637
Pt: 0.728 0.728 0.363
Au: 0.369 0.369 0.458
Au: 0.381 0.381 0.925
Au: 0.493 0.493 0.773
Au: 0.507 0.507 0.227
Au: 0.619 0.619 0.075
Au: 0.631 0.631 0.542

Main lines, low angle first (2θ from 10° to 90°):
2theta  Rel. int.
29.92  42.6
30.69  93.3
32.14  43.7
36.15  37.8
37.16  100.0
39.06  22.6
39.54  21.0
43.91  43.8
49.03  22.3
55.44  20.4

No. 7
This entry pairs a crystal structure of La2PuAu6 with its theoretical PXRD pattern. Radiation: λ = 1.5418 Å (Cu Kα). Structure: a structure optimized by DFT (GGA-PBE).
Intensities are scaled so that the largest is 100.

Cell and atoms:
a b c (Å): 8.317 8.317 3.584
angles (deg): 90.00 90.00 120.00
Fractional positions:
La: 0.333 0.667 0.000
La: 0.667 0.333 0.000
Pu: 0.000 0.000 0.000
Au: 0.000 0.332 0.500
Au: 0.000 0.668 0.500
Au: 0.332 0.000 0.500
Au: 0.332 0.332 0.500
Au: 0.668 0.000 0.500
Au: 0.668 0.668 0.500

Main lines, low angle first (2θ from 10° to 90°):
2theta  Rel. int.
24.84  12.8
32.99  100.0
37.46  84.0
45.47  16.4
50.76  30.2
64.76  29.1
64.93  34.3
67.58  15.2
89.20  13.1
89.35  15.5

No. 8
This entry pairs a crystal structure of La2ReTcAu with its theoretical PXRD pattern. Radiation: λ = 1.5418 Å (Cu Kα). Structure: a structure optimized by DFT (GGA-PBE).
Intensities are scaled so that the largest is 100.

Cell and atoms:
a b c (Å): 5.388 5.388 5.076
angles (deg): 90.00 90.00 90.00
Fractional positions:
La: 0.000 0.500 0.000
La: 0.500 0.000 0.000
Re: 0.000 0.000 0.000
Tc: 0.500 0.500 0.500
Au: 0.000 0.000 0.500

Main lines, low angle first (2θ from 10° to 90°):
2theta  Rel. int.
16.45  72.6
23.35  18.3
29.31  74.0
33.26  100.0
35.37  42.4
37.32  20.4
47.74  36.5
49.33  66.3
57.02  23.0
60.80  35.4

No. 9
This entry pairs a crystal structure of La4RhAu with its theoretical PXRD pattern. Radiation: λ = 1.5418 Å (Cu Kα). Structure: a structure optimized by DFT (GGA-PBE).
Intensities are scaled so that the largest is 100.

Cell and atoms:
a b c (Å): 7.314 7.314 6.647
angles (deg): 90.00 90.00 90.00
Fractional positions:
La: 0.169 0.312 0.000
La: 0.169 0.688 0.500
La: 0.312 0.169 0.500
La: 0.312 0.831 0.000
La: 0.688 0.169 0.000
La: 0.688 0.831 0.500
La: 0.831 0.312 0.500
La: 0.831 0.688 0.000
Rh: 0.000 0.000 0.250
Rh: 0.000 0.000 0.750
Au: 0.500 0.500 0.250
Au: 0.500 0.500 0.750

Main lines, low angle first (2θ from 10° to 90°):
2theta  Rel. int.
17.15  27.4
30.46  100.0
32.01  49.1
34.69  31.1
36.54  86.3
38.94  49.5
49.70  25.5
53.46  30.1
60.50  31.3
69.68  17.8

No. 10
This entry pairs a crystal structure of LaRhAu2 with its theoretical PXRD pattern. Radiation: λ = 1.5418 Å (Cu Kα). Structure: a structure optimized by DFT (GGA-PBE).
Intensities are scaled so that the largest is 100.

Cell and atoms:
a b c (Å): 7.192 7.192 5.344
angles (deg): 99.92 99.92 135.74
Fractional positions:
La: 0.144 0.856 0.750
La: 0.856 0.144 0.250
Rh: 0.248 0.752 0.250
Rh: 0.752 0.248 0.750
Au: 0.248 0.410 0.908
Au: 0.410 0.248 0.408
Au: 0.590 0.752 0.592
Au: 0.752 0.590 0.092

Main lines, low angle first (2θ from 10° to 90°):
2theta  Rel. int.
32.83  29.5
34.26  78.1
35.83  81.4
37.95  100.0
39.08  35.0
40.63  22.3
43.08  20.0
57.80  21.6
60.03  21.5
64.37  21.2

No. 11
This entry pairs a crystal structure of La12RhAu6 with its theoretical PXRD pattern. Radiation: λ = 1.5418 Å (Cu Kα). Structure: a structure optimized by DFT (GGA-PBE).
Intensities are scaled so that the largest is 100.

Cell and atoms:
a b c (Å): 8.728 8.728 8.728
angles (deg): 97.92 97.92 97.92
Fractional positions:
La: 0.033 0.681 0.935
La: 0.065 0.967 0.319
La: 0.189 0.424 0.576
La: 0.319 0.065 0.967
La: 0.424 0.576 0.189
La: 0.424 0.811 0.576
La: 0.576 0.189 0.424
La: 0.576 0.424 0.811
La: 0.681 0.935 0.033
La: 0.811 0.576 0.424
La: 0.935 0.033 0.681
La: 0.967 0.319 0.065
Rh: 0.000 0.000 0.000
Au: 0.126 0.627 0.306
Au: 0.306 0.126 0.627
Au: 0.373 0.694 0.874
Au: 0.627 0.306 0.126
Au: 0.694 0.874 0.373
Au: 0.874 0.373 0.694

Main lines, low angle first (2θ from 10° to 90°):
2theta  Rel. int.
20.71  26.8
21.75  98.5
28.84  35.1
31.51  70.8
34.80  100.0
36.10  85.2
37.10  26.7
50.77  24.8
65.55  26.4
67.33  22.8

No. 12
This entry pairs a crystal structure of LaRhAu with its theoretical PXRD pattern. Radiation: λ = 1.5418 Å (Cu Kα). Structure: a structure optimized by DFT (GGA-PBE).
Intensities are scaled so that the largest is 100.

Cell and atoms:
a b c (Å): 4.726 3.914 7.707
angles (deg): 90.00 90.00 90.00
Fractional positions:
La: 0.250 0.000 0.221
La: 0.750 0.000 0.779
Rh: 0.250 0.500 0.940
Rh: 0.750 0.500 0.060
Au: 0.250 0.500 0.592
Au: 0.750 0.500 0.408

Main lines, low angle first (2θ from 10° to 90°):
2theta  Rel. int.
22.72  20.2
29.92  18.5
31.88  100.0
32.61  47.6
38.08  37.8
39.95  57.3
46.42  39.3
50.99  27.0
61.53  18.6
62.86  30.2

No. 13
This entry pairs a crystal structure of La2Sb3Rh4Au with its theoretical PXRD pattern. Radiation: λ = 1.5418 Å (Cu Kα). Structure: a structure optimized by DFT (GGA-PBE).
Intensities are scaled so that the largest is 100.

Cell and atoms:
a b c (Å): 4.384 4.384 11.243
angles (deg): 90.00 90.00 90.00
Fractional positions:
La: 0.000 0.500 0.236
La: 0.500 0.000 0.764
Sb: 0.000 0.000 0.000
Sb: 0.000 0.500 0.631
Sb: 0.500 0.000 0.369
Rh: 0.000 0.000 0.500
Rh: 0.000 0.500 0.857
Rh: 0.500 0.000 0.143
Rh: 0.500 0.500 0.500
Au: 0.500 0.500 0.000

Main lines, low angle first (2θ from 10° to 90°):
2theta  Rel. int.
31.40  39.8
32.99  100.0
41.18  57.2
43.46  30.5
45.33  23.8
52.68  18.3
59.65  19.0
62.89  17.6
69.88  22.4
81.32  12.0

No. 14
This entry pairs a crystal structure of SrLaRhAu with its theoretical PXRD pattern. Radiation: λ = 1.5418 Å (Cu Kα). Structure: a structure optimized by DFT (GGA-PBE).
Intensities are scaled so that the largest is 100.

Cell and atoms:
a b c (Å): 4.346 6.313 6.313
angles (deg): 38.04 90.00 90.00
Fractional positions:
Sr: 0.000 0.000 0.000
La: 0.500 0.279 0.279
Rh: 0.000 0.736 0.736
Au: 0.500 0.569 0.569

Main lines, low angle first (2θ from 10° to 90°):
2theta  Rel. int.
14.84  19.7
22.86  18.3
29.94  33.0
30.85  100.0
31.27  27.8
36.52  36.0
37.65  99.6
41.56  29.7
44.01  25.2
58.48  18.4